Theoretical powder XRD pattern
Compound: V2Pd5
Radiation: copper Kα
Structure: a cell relaxed with PBE
Kinematic intensities with the Lorentz-polarization factor, no thermal factor.

Largest 8 diffraction maxima, in order of rising 2θ, 2θ = 15–90°:
| 2θ/deg | I/Imax |
| --- | --- |
| 37.41 | 38.7 |
| 37.89 | 30.6 |
| 40.32 | 72.2 |
| 42.49 | 98.6 |
| 42.92 | 100.0 |
| 43.13 | 80.2 |
| 56.52 | 28.7 |
| 68.12 | 28.7 |

Structural model:
a = 12.327 Å, b = 4.749 Å, c = 7.102 Å
α = 90.00°, β = 94.42°, γ = 90.00°
Space group C2/c (No. 15)
Symmetry-distinct sites (fractional):
1 V 0.078 0.171 0.105 (multiplicity 8)
2 Pd 0.000 0.306 0.750 (multiplicity 4)
3 Pd 0.131 0.325 0.457 (multiplicity 8)
4 Pd 0.213 0.166 0.823 (multiplicity 8)


Theoretical powder XRD pattern
Compound: VPd6
Radiation: copper Kα
Structure: a cell relaxed with PBE
Kinematic intensities with the Lorentz-polarization factor, no thermal factor.

Largest 8 diffraction maxima, in order of rising 2θ, 2θ = 15–90°:
| 2θ/deg | I/Imax |
| --- | --- |
| 23.72 | 1.5 |
| 33.33 | 1.9 |
| 40.88 | 100.0 |
| 59.19 | 16.2 |
| 74.39 | 24.4 |
| 74.61 | 7.5 |
| 88.48 | 5.4 |
| 88.74 | 4.9 |

Structural model:
a = 4.4200 Å, b = 4.4200 Å, c = 18.8813 Å
α = 90.00°, β = 90.00°, γ = 120.00°
Space group R-3m (No. 166, hexagonal axes)
Symmetry-distinct sites (fractional):
1 V 0.0000 0.0000 0.0000 (multiplicity 3)
2 Pd 0.0000 0.0000 0.1383 (multiplicity 6)
3 Pd 0.0000 0.0000 0.2890 (multiplicity 6)
4 Pd 0.0000 0.0000 0.4297 (multiplicity 6)


Theoretical powder XRD pattern
Compound: VPdW2
Radiation: copper Kα
Structure: a cell relaxed with PBE
Kinematic intensities with the Lorentz-polarization factor, no thermal factor.

Largest 8 diffraction maxima, in order of rising 2θ, 2θ = 15–90°:
| 2θ/deg | I/Imax |
| --- | --- |
| 21.37 | 17.8 |
| 33.03 | 12.5 |
| 39.68 | 100.0 |
| 43.53 | 19.2 |
| 47.41 | 30.0 |
| 66.31 | 21.8 |
| 77.30 | 14.1 |
| 82.93 | 23.6 |

Structural model:
a = 3.835 Å, b = 3.835 Å, c = 4.159 Å
α = 90.00°, β = 90.00°, γ = 90.00°
Space group P4/mmm (No. 123)
Symmetry-distinct sites (fractional):
1 V 0.000 0.000 0.000 (multiplicity 1)
2 Pd 0.500 0.500 0.000 (multiplicity 1)
3 W 0.000 0.500 0.500 (multiplicity 2)


Theoretical powder XRD pattern
Compound: Pd3W
Radiation: copper Kα
Structure: a cell relaxed with PBE
Kinematic intensities with the Lorentz-polarization factor, no thermal factor.

Largest 8 diffraction maxima, in order of rising 2θ, 2θ = 15–90°:
| 2θ/deg | I/Imax |
| --- | --- |
| 37.16 | 25.5 |
| 39.74 | 26.3 |
| 42.34 | 100.0 |
| 55.53 | 15.9 |
| 66.94 | 11.1 |
| 73.92 | 18.8 |
| 80.75 | 13.1 |
| 82.62 | 9.0 |

Structural model:
a = 2.789 Å, b = 9.073 Å, c = 4.847 Å
α = 90.00°, β = 90.00°, γ = 90.00°
Space group Imm2 (No. 44)
Symmetry-distinct sites (fractional):
1 Pd 0.000 0.000 0.000 (multiplicity 2)
2 Pd 0.000 0.245 0.656 (multiplicity 4)
3 W 0.000 0.500 0.995 (multiplicity 2)